Entry 1:
This entry pairs a crystal structure of Tb5Tm3Sb8 with its simulated powder X-ray diffraction pattern. Radiation: CuKα. Structure: a DFT-relaxed cell (PBE, Alexandria).

Main lines, low angle first (2θ from 10° to 90°):
d 3.575, 2θ 24.91, rel. 4; d 3.096, 2θ 28.84, rel. 100; d 2.189, 2θ 41.24, rel. 76; d 1.867, 2θ 48.78, rel. 2; d 1.787, 2θ 51.10, rel. 27; d 1.548, 2θ 59.74, rel. 13; d 1.420, 2θ 65.74, rel. 1; d 1.385, 2θ 67.67, rel. 35; d 1.264, 2θ 75.17, rel. 26; d 1.095, 2θ 89.55, rel. 9

Structure:
Unit cell a=8.7557 b=8.7557 c=8.7557 alpha=60.01 beta=60.01 gamma=60.01
Sites, in units of the cell vectors:
Tb: 0.0000 0.0000 0.0000
Tb: 0.0000 0.5000 0.5000
Tb: 0.5000 0.0000 0.5000
Tb: 0.5000 0.5000 0.0000
Tb: 0.5000 0.5000 0.5000
Tm: 0.0000 0.0000 0.5000
Tm: 0.0000 0.5000 0.0000
Tm: 0.5000 0.0000 0.0000
Sb: 0.2469 0.7500 0.7500
Sb: 0.2485 0.2485 0.2485
Sb: 0.2500 0.2500 0.7531
Sb: 0.2500 0.7531 0.2500
Sb: 0.7500 0.2469 0.7500
Sb: 0.7500 0.7500 0.2469
Sb: 0.7515 0.7515 0.7515
Sb: 0.7531 0.2500 0.2500

***

Entry 2:
This entry pairs a crystal structure of Tb2TmSb with its simulated powder X-ray diffraction pattern. Radiation: CuKα. Structure: a DFT-relaxed cell (PBE, Alexandria).

Main lines, low angle first (2θ from 10° to 90°):
d 3.186, 2θ 28.01, rel. 19; d 2.954, 2θ 30.26, rel. 100; d 2.792, 2θ 32.05, rel. 46; d 2.611, 2θ 34.34, rel. 94; d 2.285, 2θ 39.43, rel. 31; d 2.265, 2θ 39.79, rel. 37; d 1.769, 2θ 51.69, rel. 24; d 1.759, 2θ 51.99, rel. 24; d 1.609, 2θ 57.27, rel. 22; d 1.394, 2θ 67.15, rel. 22

Structure:
Unit cell a=4.5707 b=4.5301 c=11.3998 alpha=90.00 beta=101.55 gamma=90.00
Sites, in units of the cell vectors:
Tb: 0.0622 0.2500 0.1242
Tb: 0.4350 0.2500 0.8703
Tb: 0.5650 0.7500 0.1297
Tb: 0.9378 0.7500 0.8758
Tm: 0.3075 0.7500 0.6155
Tm: 0.6925 0.2500 0.3845
Sb: 0.1714 0.7500 0.3418
Sb: 0.8286 0.2500 0.6582

***

Entry 3:
This entry pairs a crystal structure of Tb5Tm5Sb6 with its simulated powder X-ray diffraction pattern. Radiation: CuKα. Structure: a DFT-relaxed cell (PBE, Alexandria).

Main lines, low angle first (2θ from 10° to 90°):
d 3.137, 2θ 28.45, rel. 21; d 2.933, 2θ 30.48, rel. 27; d 2.908, 2θ 30.75, rel. 25; d 2.657, 2θ 33.74, rel. 85; d 2.650, 2θ 33.83, rel. 41; d 2.590, 2θ 34.64, rel. 21; d 2.581, 2θ 34.76, rel. 41; d 2.569, 2θ 34.93, rel. 100; d 1.823, 2θ 50.03, rel. 18; d 1.702, 2θ 53.86, rel. 33

Structure:
Unit cell a=6.2742 b=8.9608 c=8.9608 alpha=120.23 beta=90.00 gamma=90.00
Sites, in units of the cell vectors:
Tb: 0.0000 0.0000 0.0000
Tb: 0.2500 0.5793 0.9114
Tb: 0.2500 0.9114 0.5793
Tb: 0.7500 0.5793 0.9114
Tb: 0.7500 0.9114 0.5793
Tm: 0.0000 0.2445 0.4913
Tm: 0.0000 0.4913 0.2445
Tm: 0.5000 0.2454 0.9982
Tm: 0.5000 0.4884 0.4884
Tm: 0.5000 0.9982 0.2454
Sb: 0.0000 0.2470 0.8574
Sb: 0.0000 0.6302 0.6302
Sb: 0.0000 0.8574 0.2470
Sb: 0.5000 0.2450 0.6320
Sb: 0.5000 0.6320 0.2450
Sb: 0.5000 0.8581 0.8581

***

Entry 4:
This entry pairs a crystal structure of Tb3Y4Sb4 with its simulated powder X-ray diffraction pattern. Radiation: CuKα. Structure: a DFT-relaxed cell (PBE, Alexandria).

Main lines, low angle first (2θ from 10° to 90°):
d 3.226, 2θ 27.65, rel. 18; d 2.998, 2θ 29.80, rel. 100; d 2.814, 2θ 31.80, rel. 97; d 2.702, 2θ 33.15, rel. 51; d 2.628, 2θ 34.11, rel. 33; d 2.435, 2θ 36.92, rel. 31; d 2.353, 2θ 38.24, rel. 28; d 2.033, 2θ 44.57, rel. 28; d 1.625, 2θ 56.66, rel. 22; d 1.561, 2θ 59.20, rel. 45

Structure:
Unit cell a=9.9706 b=9.9706 c=9.9706 alpha=156.47 beta=125.12 gamma=60.52
Sites, in units of the cell vectors:
Tb: 0.0000 0.0000 0.0000
Tb: 0.3997 0.8997 0.5000
Tb: 0.6003 0.1003 0.5000
Y: 0.0157 0.3311 0.6846
Y: 0.3535 0.6689 0.6846
Y: 0.6465 0.3311 0.3154
Y: 0.9843 0.6689 0.3154
Sb: 0.2634 0.2634 0.0000
Sb: 0.2928 0.5000 0.7928
Sb: 0.7072 0.5000 0.2072
Sb: 0.7366 0.7366 0.0000

***

Entry 5:
This entry pairs a crystal structure of Tb5Y5Sb6 with its simulated powder X-ray diffraction pattern. Radiation: CuKα. Structure: a DFT-relaxed cell (PBE, Alexandria).

Main lines, low angle first (2θ from 10° to 90°):
d 7.808, 2θ 11.33, rel. 29; d 2.952, 2θ 30.28, rel. 32; d 2.933, 2θ 30.47, rel. 17; d 2.675, 2θ 33.50, rel. 81; d 2.603, 2θ 34.45, rel. 65; d 2.591, 2θ 34.63, rel. 100; d 1.836, 2θ 49.65, rel. 26; d 1.717, 2θ 53.37, rel. 21; d 1.401, 2θ 66.79, rel. 17; d 1.352, 2θ 69.51, rel. 16

Structure:
Unit cell a=6.3303 b=9.0204 c=9.0204 alpha=120.06 beta=90.00 gamma=90.00
Sites, in units of the cell vectors:
Tb: 0.0000 0.0000 0.0000
Tb: 0.2500 0.0861 0.4192
Tb: 0.2500 0.4192 0.0861
Tb: 0.7500 0.0861 0.4192
Tb: 0.7500 0.4192 0.0861
Y: 0.0000 0.5051 0.7528
Y: 0.0000 0.7528 0.5051
Y: 0.5000 0.0006 0.7528
Y: 0.5000 0.5055 0.5055
Y: 0.5000 0.7528 0.0006
Sb: 0.0000 0.1408 0.7523
Sb: 0.0000 0.3649 0.3649
Sb: 0.0000 0.7523 0.1408
Sb: 0.5000 0.1407 0.1407
Sb: 0.5000 0.3648 0.7527
Sb: 0.5000 0.7527 0.3648

***

Entry 6:
This entry pairs a crystal structure of TbY3Sb3 with its simulated powder X-ray diffraction pattern. Radiation: CuKα. Structure: a DFT-relaxed cell (PBE, Alexandria).

Main lines, low angle first (2θ from 10° to 90°):
d 2.915, 2θ 30.67, rel. 100; d 2.464, 2θ 36.47, rel. 66; d 2.061, 2θ 43.92, rel. 15; d 1.965, 2θ 46.19, rel. 11; d 1.882, 2θ 48.37, rel. 14; d 1.808, 2θ 50.48, rel. 19; d 1.495, 2θ 62.06, rel. 26; d 1.458, 2θ 63.86, rel. 11; d 1.422, 2θ 65.63, rel. 13; d 1.254, 2θ 75.84, rel. 16

Structure:
Unit cell a=9.2186 b=9.2186 c=9.2186 alpha=90.00 beta=90.00 gamma=90.00
Sites, in units of the cell vectors:
Tb: 0.0717 0.4283 0.5717
Tb: 0.4283 0.5717 0.0717
Tb: 0.5717 0.0717 0.4283
Tb: 0.9283 0.9283 0.9283
Y: 0.0723 0.5723 0.9277
Y: 0.1784 0.1784 0.1784
Y: 0.1781 0.8219 0.3219
Y: 0.3219 0.1781 0.8219
Y: 0.3216 0.8216 0.6784
Y: 0.4277 0.4277 0.4277
Y: 0.5723 0.9277 0.0723
Y: 0.6784 0.3216 0.8216
Y: 0.6781 0.6781 0.6781
Y: 0.8219 0.3219 0.1781
Y: 0.8216 0.6784 0.3216
Y: 0.9277 0.0723 0.5723
Sb: 0.0001 0.2504 0.8753
Sb: 0.9999 0.7504 0.6247
Sb: 0.1247 0.5001 0.2496
Sb: 0.2496 0.1247 0.5001
Sb: 0.2504 0.8753 0.0001
Sb: 0.3753 0.4999 0.7496
Sb: 0.5001 0.2496 0.1247
Sb: 0.4999 0.7496 0.3753
Sb: 0.6247 0.9999 0.7504
Sb: 0.7496 0.3753 0.4999
Sb: 0.7504 0.6247 0.9999
Sb: 0.8753 0.0001 0.2504